Structure and theoretical PXRD pattern of VFePt14 (a PBE-relaxed structure; CuKα).

Peak list (6 most intense, 2θ from 10° to 90°, by angle)
2θ 39.60, 2.276 Å, rel. 100, (2 0 2); 2θ 45.85, 1.979 Å, rel. 33, (2 2 0); 2θ 46.47, 1.954 Å, rel. 16, (0 0 4); 2θ 67.34, 1.391 Å, rel. 21, (2 2 4); 2θ 80.58, 1.192 Å, rel. 26, (4 2 2); 2θ 81.49, 1.181 Å, rel. 12, (2 0 6)

Structure:
```
data_VFePt14
_chemical_formula_sum 'V1 Fe1 Pt14'
_space_group_name_H-M_alt 'P 4/m m m'
_space_group_IT_number 123
_space_group_name_Hall '-P 4 2'
_cell_length_a 5.5981
_cell_length_b 5.5981
_cell_length_c 7.8168
_cell_angle_alpha 90.00
_cell_angle_beta 90.00
_cell_angle_gamma 90.00
loop_
_atom_site_label
_atom_site_fract_x
_atom_site_fract_y
_atom_site_fract_z
V1 0.0000 0.0000 0.0000
Fe1 0.5000 0.5000 0.0000
Pt1 0.0000 0.0000 0.5000
Pt2 0.0000 0.5000 0.0000
Pt3 0.0000 0.5000 0.5000
Pt4 0.2488 0.2488 0.2402
Pt5 0.5000 0.5000 0.5000
```



Structure and theoretical PXRD pattern of LiNpMn4S8 (a PBE-relaxed structure; CuKα).

Peak list (6 most intense, 2θ from 10° to 90°, by angle)
2θ 14.81, 5.980 Å, rel. 100, (1 0 1); 2θ 17.03, 5.206 Å, rel. 35, (0 1 2); 2θ 28.14, 3.171 Å, rel. 35, (0 1 5); 2θ 28.47, 3.135 Å, rel. 72, (1 1 3); 2θ 34.46, 2.603 Å, rel. 70, (0 2 4); 2θ 49.94, 1.826 Å, rel. 34, (2 2 0)

Structure:
```
data_LiNpMn4S8
_chemical_formula_sum 'Li3 Np3 Mn12 S24'
_space_group_name_H-M_alt 'R 3 m'
_space_group_IT_number 160
_space_group_name_Hall 'R 3 -2"'
_cell_length_a 7.3050
_cell_length_b 7.3050
_cell_length_c 18.3222
_cell_angle_alpha 90.00
_cell_angle_beta 90.00
_cell_angle_gamma 120.00
loop_
_atom_site_label
_atom_site_fract_x
_atom_site_fract_y
_atom_site_fract_z
Li1 0.0000 0.0000 0.0000
Np1 0.0000 0.0000 0.3683
Mn1 0.0000 0.0000 0.7391
Mn2 0.0111 0.5056 0.8708
S1 0.0000 0.0000 0.1315
S2 0.0000 0.0000 0.6075
S3 0.0083 0.5042 0.1280
S4 0.1734 0.3469 0.9444
```



Structure and theoretical PXRD pattern of KPr2Lu (a PBE-relaxed structure; CuKα).

Peak list (6 most intense, 2θ from 10° to 90°, by angle)
2θ 26.51, 3.363 Å, rel. 37, (0 0 12); 2θ 28.54, 3.127 Å, rel. 67, (0 1 2); 2θ 30.33, 2.947 Å, rel. 100, (0 1 5); 2θ 32.26, 2.775 Å, rel. 33, (1 0 7); 2θ 36.06, 2.491 Å, rel. 89, (1 0 10); 2θ 49.90, 1.828 Å, rel. 36, (1 1 0)

Structure:
```
data_KPr2Lu
_chemical_formula_sum 'K3 Pr6 Lu3'
_space_group_name_H-M_alt 'R -3 m'
_space_group_IT_number 166
_space_group_name_Hall '-R 3 2"'
_cell_length_a 3.6551
_cell_length_b 3.6551
_cell_length_c 40.3523
_cell_angle_alpha 90.00
_cell_angle_beta 90.00
_cell_angle_gamma 120.00
loop_
_atom_site_label
_atom_site_fract_x
_atom_site_fract_y
_atom_site_fract_z
K1 0.0000 0.0000 0.0000
Pr1 0.0000 0.0000 0.0968
Lu1 0.0000 0.0000 0.5000
```



Structure and theoretical PXRD pattern of HoThMgPb (a PBE-relaxed structure; CuKα).

Peak list (6 most intense, 2θ from 10° to 90°, by angle)
2θ 19.97, 4.445 Å, rel. 21, (1 1 1); 2θ 32.90, 2.722 Å, rel. 100, (2 2 0); 2θ 38.79, 2.321 Å, rel. 12, (3 1 1); 2θ 47.22, 1.925 Å, rel. 19, (4 0 0); 2θ 58.75, 1.572 Å, rel. 39, (4 2 2); 2θ 78.58, 1.217 Å, rel. 17, (6 2 0)

Structure:
```
data_HoThMgPb
_chemical_formula_sum 'Ho4 Th4 Mg4 Pb4'
_space_group_name_H-M_alt 'F -4 3 m'
_space_group_IT_number 216
_space_group_name_Hall 'F -4 2 3'
_cell_length_a 7.6993
_cell_length_b 7.6993
_cell_length_c 7.6993
_cell_angle_alpha 90.00
_cell_angle_beta 90.00
_cell_angle_gamma 90.00
loop_
_atom_site_label
_atom_site_fract_x
_atom_site_fract_y
_atom_site_fract_z
Ho1 0.0000 0.0000 0.0000
Th1 0.0000 0.0000 0.5000
Mg1 0.2500 0.2500 0.7500
Pb1 0.2500 0.2500 0.2500
```